[1]
Structure and theoretical X-ray powder pattern of In4Sb2TeSe (a GGA-PBE-relaxed structure; CuKα).
Intensities are scaled so that the largest is 100.

The 6 most intense peaks (2θ = 10–90°), low angle first:
2θ (°)	d/Å	I (rel.)	h k l
22.97	3.872	100.0	2 0 2
37.15	2.420	28.2	4 0 0
38.34	2.347	52.0	2 2 4
44.13	2.052	34.2	2 4 2
46.19	1.965	15.2	0 2 6
67.77	1.383	18.0	6 2 4

Atomic structure:
```
data_In4Sb2TeSe
_cell_length_a 9.672
_cell_length_b 9.687
_cell_length_c 12.905
_cell_angle_alpha 90.00
_cell_angle_beta 90.00
_cell_angle_gamma 90.00
_symmetry_space_group_name_H-M 'F m m 2'
_symmetry_Int_Tables_number 42
_symmetry_space_group_name_Hall 'F 2 -2'
loop_
_atom_site_label
_atom_site_type_symbol
_atom_site_fract_x
_atom_site_fract_y
_atom_site_fract_z
In1 In 0.000 0.239 0.000
In2 In 0.239 0.000 0.248
Sb1 Sb 0.250 0.250 0.374
Te1 Te 0.000 0.000 0.624
Se1 Se 0.000 0.000 0.124
```



[2]
Structure and theoretical X-ray powder pattern of KNbBr6 (a GGA-PBE-relaxed structure; CuKα).
Intensities are scaled so that the largest is 100.

The 6 most intense peaks (2θ = 10–90°), low angle first:
2θ (°)	d/Å	I (rel.)	h k l
12.52	7.068	71.7	0 0 1
14.65	6.046	100.0	1 1 -1
21.58	4.118	49.2	0 2 1
26.47	3.367	53.0	2 2 -1
30.85	2.899	99.2	0 2 2
31.87	2.808	49.6	2 0 1

Atomic structure:
```
data_KNbBr6
_cell_length_a 9.012
_cell_length_b 10.135
_cell_length_c 8.311
_cell_angle_alpha 90.00
_cell_angle_beta 121.74
_cell_angle_gamma 90.00
_symmetry_space_group_name_H-M 'C 1 2/m 1'
_symmetry_Int_Tables_number 12
_symmetry_space_group_name_Hall '-C 2y'
loop_
_atom_site_label
_atom_site_type_symbol
_atom_site_fract_x
_atom_site_fract_y
_atom_site_fract_z
K1 K 0.000 0.000 0.000
Nb1 Nb 0.000 0.500 0.500
Br1 Br 0.120 0.321 0.756
Br2 Br 0.215 0.000 0.492
```



[3]
Structure and theoretical X-ray powder pattern of SmY5Zn6 (a GGA-PBE-relaxed structure; CuKα).
Intensities are scaled so that the largest is 100.

The 6 most intense peaks (2θ = 10–90°), low angle first:
2θ (°)	d/Å	I (rel.)	h k l
35.34	2.540	100.0	2 0 0
50.92	1.793	11.4	2 6 0
63.34	1.468	11.5	2 0 4
63.49	1.465	22.9	3 3 2
74.70	1.271	6.9	2 6 4
85.63	1.134	9.7	4 6 0

Atomic structure:
```
data_SmY5Zn6
_cell_length_a 5.070
_cell_length_b 15.221
_cell_length_c 7.203
_cell_angle_alpha 90.00
_cell_angle_beta 90.00
_cell_angle_gamma 90.00
_symmetry_space_group_name_H-M 'C m m m'
_symmetry_Int_Tables_number 65
_symmetry_space_group_name_Hall '-C 2 2'
loop_
_atom_site_label
_atom_site_type_symbol
_atom_site_fract_x
_atom_site_fract_y
_atom_site_fract_z
Sm1 Sm 0.000 0.000 0.000
Y1 Y 0.000 0.000 0.500
Y2 Y 0.000 0.333 0.000
Y3 Y 0.000 0.334 0.500
Zn1 Zn 0.000 0.168 0.253
Zn2 Zn 0.000 0.500 0.253
```